# 1
Rb2AlTlBr6: simulated X-ray diffraction stick pattern (λ = 1.5418 Å (Cu Kα)), based on a DFT-relaxed cell (GGA-PBE, the Materials Project).
Peak positions follow from Bragg's law for the DFT cell and can differ from measured ones.

Peak list (10 most intense, 10 to 90 degrees two-theta, in order of rising 2θ)
- d = 5.703 Å, 15.5 deg, I = 39.1
- d = 4.033 Å, 22.0 deg, I = 43.0
- d = 3.439 Å, 25.9 deg, I = 34.2
- d = 3.293 Å, 27.1 deg, I = 45.9
- d = 2.852 Å, 31.4 deg, I = 100.0
- d = 2.617 Å, 34.3 deg, I = 41.4
- d = 2.016 Å, 45.0 deg, I = 66.1
- d = 1.646 Å, 55.8 deg, I = 20.9
- d = 1.485 Å, 62.5 deg, I = 22.0
- d = 1.275 Å, 74.4 deg, I = 22.9

Crystal structure
a b c (Å): 8.066 8.066 8.066
angles (deg): 60.00 60.00 60.00
Positions (direct):
Rb1 0.250 0.250 0.250
Rb2 0.750 0.750 0.750
Al1 0.000 0.000 0.000
Tl1 0.500 0.500 0.500
Br1 0.222 0.222 0.778
Br2 0.222 0.778 0.222
Br3 0.222 0.778 0.778
Br4 0.778 0.222 0.222
Br5 0.778 0.222 0.778
Br6 0.778 0.778 0.222

=====

# 2
AgPb3: simulated X-ray diffraction stick pattern (λ = 1.5418 Å (Cu Kα)), based on a DFT-relaxed cell (GGA-PBE, the Materials Project).
Peak positions follow from Bragg's law for the DFT cell and can differ from measured ones.

Peak list (10 most intense, 10 to 90 degrees two-theta, in order of rising 2θ)
- d = 2.798 Å, 32.0 deg, I = 100.0
- d = 2.452 Å, 36.6 deg, I = 35.0
- d = 2.367 Å, 38.0 deg, I = 15.8
- d = 1.734 Å, 52.8 deg, I = 12.4
- d = 1.703 Å, 53.8 deg, I = 23.4
- d = 1.474 Å, 63.1 deg, I = 29.2
- d = 1.436 Å, 64.9 deg, I = 13.4
- d = 1.399 Å, 66.9 deg, I = 12.3
- d = 1.123 Å, 86.7 deg, I = 6.5
- d = 1.106 Å, 88.4 deg, I = 12.5

Crystal structure
a b c (Å): 5.869 5.869 5.869
angles (deg): 130.61 130.61 72.44
Positions (direct):
Ag1 0.000 0.000 0.000
Pb1 0.250 0.750 0.500
Pb2 0.500 0.500 0.000
Pb3 0.750 0.250 0.500

=====

# 3
SrGdCuS3: simulated X-ray diffraction stick pattern (λ = 1.5418 Å (Cu Kα)), based on a DFT-relaxed cell (GGA-PBE, the Materials Project).
Peak positions follow from Bragg's law for the DFT cell and can differ from measured ones.

Peak list (10 most intense, 10 to 90 degrees two-theta, in order of rising 2θ)
- d = 6.486 Å, 13.7 deg, I = 83.7
- d = 4.048 Å, 22.0 deg, I = 60.5
- d = 3.243 Å, 27.5 deg, I = 38.3
- d = 3.057 Å, 29.2 deg, I = 83.7
- d = 2.811 Å, 31.8 deg, I = 64.6
- d = 2.591 Å, 34.6 deg, I = 40.6
- d = 2.544 Å, 35.3 deg, I = 100.0
- d = 2.002 Å, 45.3 deg, I = 45.7
- d = 1.980 Å, 45.8 deg, I = 34.1
- d = 1.572 Å, 58.7 deg, I = 31.9

Crystal structure
a b c (Å): 10.362 3.960 12.971
angles (deg): 90.00 90.00 90.00
Positions (direct):
Sr1 0.224 0.250 0.002
Sr2 0.276 0.750 0.502
Sr3 0.724 0.250 0.498
Sr4 0.776 0.750 0.998
Gd1 0.014 0.750 0.260
Gd2 0.486 0.250 0.760
Gd3 0.514 0.750 0.240
Gd4 0.986 0.250 0.740
Cu1 0.237 0.750 0.778
Cu2 0.263 0.250 0.278
Cu3 0.737 0.750 0.722
Cu4 0.763 0.250 0.222
S1 0.053 0.750 0.882
S2 0.091 0.250 0.393
S3 0.241 0.250 0.674
S4 0.259 0.750 0.174
S5 0.409 0.750 0.893
S6 0.447 0.250 0.382
S7 0.553 0.750 0.618
S8 0.591 0.250 0.107
S9 0.741 0.250 0.826
S10 0.759 0.750 0.326
S11 0.909 0.750 0.607
S12 0.947 0.250 0.118

=====

# 4
Zr3Ga5: simulated X-ray diffraction stick pattern (λ = 1.5418 Å (Cu Kα)), based on a DFT-relaxed cell (GGA-PBE, the Materials Project).
Peak positions follow from Bragg's law for the DFT cell and can differ from measured ones.

Peak list (10 most intense, 10 to 90 degrees two-theta, in order of rising 2θ)
- d = 2.667 Å, 33.6 deg, I = 29.8
- d = 2.379 Å, 37.8 deg, I = 100.0
- d = 2.350 Å, 38.3 deg, I = 28.2
- d = 2.304 Å, 39.1 deg, I = 35.6
- d = 2.276 Å, 39.6 deg, I = 38.4
- d = 2.228 Å, 40.5 deg, I = 27.5
- d = 2.054 Å, 44.1 deg, I = 24.7
- d = 2.035 Å, 44.5 deg, I = 26.9
- d = 1.428 Å, 65.4 deg, I = 19.0
- d = 1.209 Å, 79.2 deg, I = 18.4

Crystal structure
a b c (Å): 5.715 5.715 9.103
angles (deg): 90.00 90.00 77.53
Positions (direct):
Zr1 0.137 0.863 0.750
Zr2 0.295 0.295 0.000
Zr3 0.295 0.295 0.500
Zr4 0.705 0.705 0.000
Zr5 0.705 0.705 0.500
Zr6 0.863 0.137 0.250
Ga1 0.002 0.577 0.250
Ga2 0.184 0.816 0.050
Ga3 0.184 0.816 0.450
Ga4 0.423 0.998 0.250
Ga5 0.483 0.517 0.250
Ga6 0.517 0.483 0.750
Ga7 0.577 0.002 0.750
Ga8 0.816 0.184 0.550
Ga9 0.816 0.184 0.950
Ga10 0.998 0.423 0.750

=====

# 5
InI3: simulated X-ray diffraction stick pattern (λ = 1.5418 Å (Cu Kα)), based on a DFT-relaxed cell (GGA-PBE, the Materials Project).
Peak positions follow from Bragg's law for the DFT cell and can differ from measured ones.

Peak list (10 most intense, 10 to 90 degrees two-theta, in order of rising 2θ)
- d = 6.134 Å, 14.4 deg, I = 22.2
- d = 5.851 Å, 15.1 deg, I = 31.2
- d = 3.798 Å, 23.4 deg, I = 100.0
- d = 3.770 Å, 23.6 deg, I = 98.5
- d = 3.280 Å, 27.2 deg, I = 19.9
- d = 2.335 Å, 38.6 deg, I = 41.1
- d = 2.315 Å, 38.9 deg, I = 63.9
- d = 2.288 Å, 39.4 deg, I = 19.3
- d = 1.997 Å, 45.4 deg, I = 30.9
- d = 1.971 Å, 46.1 deg, I = 18.7

Crystal structure
a b c (Å): 10.323 6.651 12.910
angles (deg): 90.00 107.59 90.00
Positions (direct):
In1 0.201 0.000 0.049
In2 0.201 0.500 0.549
In3 0.799 0.000 0.951
In4 0.799 0.500 0.451
I1 0.000 0.223 0.116
I2 0.000 0.277 0.616
I3 0.000 0.723 0.384
I4 0.000 0.777 0.884
I5 0.329 0.747 0.210
I6 0.329 0.753 0.710
I7 0.332 0.248 0.451
I8 0.332 0.252 0.951
I9 0.668 0.748 0.049
I10 0.668 0.752 0.549
I11 0.671 0.247 0.290
I12 0.671 0.253 0.790

=====

# 6
EuH3Pd: simulated X-ray diffraction stick pattern (λ = 1.5418 Å (Cu Kα)), based on a DFT-relaxed cell (GGA-PBE, the Materials Project).
Peak positions follow from Bragg's law for the DFT cell and can differ from measured ones.

Peak list (10 most intense, 10 to 90 degrees two-theta, in order of rising 2θ)
- d = 3.831 Å, 23.2 deg, I = 3.0
- d = 2.709 Å, 33.1 deg, I = 100.0
- d = 2.212 Å, 40.8 deg, I = 1.3
- d = 1.915 Å, 47.5 deg, I = 18.7
- d = 1.713 Å, 53.5 deg, I = 1.5
- d = 1.564 Å, 59.1 deg, I = 37.5
- d = 1.354 Å, 69.4 deg, I = 11.8
- d = 1.277 Å, 74.3 deg, I = 0.8
- d = 1.211 Å, 79.1 deg, I = 16.2
- d = 1.106 Å, 88.4 deg, I = 4.2

Crystal structure
a b c (Å): 3.831 3.831 3.831
angles (deg): 90.00 90.00 90.00
Positions (direct):
Eu1 0.000 0.000 0.000
H1 0.000 0.500 0.500
H2 0.500 0.000 0.500
H3 0.500 0.500 0.000
Pd1 0.500 0.500 0.500

=====

# 7
KBaSiHO4: simulated X-ray diffraction stick pattern (λ = 1.5418 Å (Cu Kα)), based on a DFT-relaxed cell (GGA-PBE, the Materials Project).
Peak positions follow from Bragg's law for the DFT cell and can differ from measured ones.

Peak list (10 most intense, 10 to 90 degrees two-theta, in order of rising 2θ)
- d = 5.321 Å, 16.7 deg, I = 31.7
- d = 5.118 Å, 17.3 deg, I = 50.4
- d = 3.231 Å, 27.6 deg, I = 78.7
- d = 3.198 Å, 27.9 deg, I = 48.5
- d = 3.184 Å, 28.0 deg, I = 100.0
- d = 3.056 Å, 29.2 deg, I = 61.5
- d = 3.019 Å, 29.6 deg, I = 47.6
- d = 2.941 Å, 30.4 deg, I = 40.6
- d = 2.226 Å, 40.5 deg, I = 34.5
- d = 2.166 Å, 41.7 deg, I = 31.5

Crystal structure
a b c (Å): 5.883 8.132 6.044
angles (deg): 90.00 118.32 90.00
Positions (direct):
K1 0.130 0.000 0.297
K2 0.870 0.500 0.703
Ba1 0.486 0.252 0.993
Ba2 0.514 0.752 0.007
Si1 0.201 0.515 0.379
Si2 0.799 0.015 0.621
H1 0.013 0.279 0.461
H2 0.987 0.779 0.539
O1 0.002 0.671 0.317
O2 0.012 0.339 0.313
O3 0.337 0.508 0.198
O4 0.406 0.506 0.680
O5 0.594 0.006 0.320
O6 0.663 0.008 0.802
O7 0.988 0.839 0.687
O8 0.998 0.171 0.683